(1)
# MgSi2
Simulated XRD peak list, Cu Kα, 1.54184 Å. Input: the GGA-PBE geometry in the Materials Project.
Peak positions follow from Bragg's law for the DFT cell and can differ from measured ones.

Most intense lines, 10° ≤ 2θ ≤ 80°, by intensity:
| 2θ/deg | intensity |
| --- | --- |
| 38.6 | 100 |
| 38.7 | 83 |
| 42.6 | 34 |
| 39.9 | 29 |
| 51.7 | 22 |
| 69.2 | 15 |
| 67.2 | 12 |
| 36.9 | 11 |
| 75.3 | 11 |
| 59.6 | 10 |

Structure:
```
MgSi2
1.0
4.796 -1.767 0.000
4.796 1.767 0.000
-3.253 0.000 11.995
Mg Si
4 8
Cartesian
0.000 0.000 0.000 Mg
-0.721 0.000 2.932 Mg
1.414 0.000 7.359 Mg
5.175 0.000 5.154 Mg
-1.598 0.000 6.057 Si
-2.123 0.000 9.401 Si
2.566 0.000 1.068 Si
0.391 0.000 9.842 Si
2.414 0.000 4.431 Si
4.065 0.000 8.004 Si
3.711 0.000 11.101 Si
6.212 0.000 2.392 Si
```

***

(2)
# Ca3UO6
Simulated XRD peak list, Cu Kα, 1.54184 Å. Input: the GGA-PBE geometry in the Materials Project.
Peak positions follow from Bragg's law for the DFT cell and can differ from measured ones.

Most intense lines, 10° ≤ 2θ ≤ 80°, by intensity:
| 2θ/deg | intensity |
| --- | --- |
| 18.2 | 100 |
| 30.1 | 80 |
| 30.4 | 78 |
| 21.4 | 71 |
| 18.8 | 44 |
| 43.6 | 37 |
| 29.8 | 37 |
| 18.6 | 36 |
| 53.3 | 35 |
| 35.4 | 35 |

Structure:
```
Ca3UO6
1.0
5.764 0.000 0.000
0.000 5.994 0.000
-5.663 0.000 8.399
Ca U O
6 2 12
Cartesian
0.000 0.000 0.000 Ca
-2.831 2.997 4.199 Ca
-2.899 0.309 6.216 Ca
-0.068 2.688 2.017 Ca
0.169 3.306 6.382 Ca
3.000 5.685 2.183 Ca
0.051 0.000 4.199 U
2.882 2.997 0.000 U
-1.660 1.071 3.739 O
-4.491 1.926 7.939 O
-0.979 4.288 3.499 O
-3.810 4.703 7.699 O
0.773 0.427 2.259 O
-2.059 2.570 6.459 O
2.160 3.424 1.940 O
-0.672 5.567 6.139 O
3.911 1.291 0.700 O
1.080 1.706 4.900 O
4.592 4.068 0.460 O
1.761 4.923 4.660 O
```

***

(3)
# BaReH9
Simulated XRD peak list, Cu Kα, 1.54184 Å. Input: the GGA-PBE geometry in the Materials Project.
Peak positions follow from Bragg's law for the DFT cell and can differ from measured ones.

Most intense lines, 10° ≤ 2θ ≤ 80°, by intensity:
| 2θ/deg | intensity |
| --- | --- |
| 24.5 | 100 |
| 29.4 | 58 |
| 29.7 | 39 |
| 28.3 | 29 |
| 35.7 | 22 |
| 34.3 | 20 |
| 46.7 | 18 |
| 47.1 | 18 |
| 46.2 | 15 |
| 57.7 | 15 |

Structure:
```
BaReH9
1.0
3.809 0.000 0.000
0.000 10.061 0.000
-0.246 0.000 5.235
Ba Re H
2 2 18
Cartesian
0.000 0.000 0.000 Ba
0.000 5.031 0.000 Ba
1.524 2.515 2.777 Re
2.039 7.546 2.458 Re
-0.165 7.546 4.586 H
0.078 1.641 2.818 H
0.078 3.389 2.818 H
0.505 7.546 0.011 H
1.288 2.515 4.444 H
1.759 1.412 1.437 H
1.759 3.619 1.437 H
1.808 5.984 1.803 H
1.808 9.108 1.803 H
1.755 0.953 3.432 H
1.755 4.077 3.432 H
1.804 6.442 3.798 H
1.804 8.649 3.798 H
2.275 7.546 0.791 H
3.058 2.515 5.225 H
3.485 6.672 2.417 H
3.485 8.420 2.417 H
3.728 2.515 0.649 H
```

***

(4)
# Dy5Co19P12
Simulated XRD peak list, Cu Kα, 1.54184 Å. Input: the GGA-PBE geometry in the Materials Project.
Peak positions follow from Bragg's law for the DFT cell and can differ from measured ones.

Most intense lines, 10° ≤ 2θ ≤ 80°, by intensity:
| 2θ/deg | intensity |
| --- | --- |
| 38.8 | 100 |
| 39.9 | 45 |
| 49.7 | 21 |
| 53.0 | 20 |
| 75.6 | 13 |
| 29.9 | 12 |
| 35.7 | 12 |
| 59.8 | 11 |
| 73.7 | 11 |
| 28.5 | 10 |

Structure:
```
Dy5Co19P12
1.0
11.966 0.000 0.000
-5.983 10.363 0.000
0.000 0.000 3.670
Dy Co P
5 19 12
Cartesian
-4.866 8.427 0.000 Dy
1.118 1.936 0.000 Dy
0.000 6.909 1.835 Dy
5.983 3.454 1.835 Dy
9.731 0.000 0.000 Dy
0.000 0.000 1.835 Co
-1.708 2.959 0.000 Co
-2.683 4.646 1.835 Co
-2.342 6.657 0.000 Co
-0.137 3.916 1.835 Co
-2.524 8.524 1.835 Co
3.417 0.000 0.000 Co
1.389 5.007 0.000 Co
3.460 1.839 1.835 Co
5.365 0.000 1.835 Co
3.641 3.706 0.000 Co
0.953 9.063 0.000 Co
3.301 5.717 1.835 Co
2.661 8.287 1.835 Co
6.936 1.301 0.000 Co
4.275 7.404 0.000 Co
5.846 6.447 1.835 Co
8.644 2.077 1.835 Co
7.372 5.357 0.000 Co
-1.082 1.875 1.835 P
-3.785 6.555 1.835 P
-0.894 4.977 0.000 P
2.165 0.000 1.835 P
-1.226 8.649 0.000 P
2.198 3.808 1.835 P
4.757 1.714 0.000 P
2.120 7.100 0.000 P
7.569 0.000 1.835 P
5.089 5.386 0.000 P
4.901 8.489 1.835 P
8.103 3.263 0.000 P
```

***

(5)
# Na2Pr4Cl9O2
Simulated XRD peak list, Cu Kα, 1.54184 Å. Input: the GGA-PBE geometry in the Materials Project.
Peak positions follow from Bragg's law for the DFT cell and can differ from measured ones.

Most intense lines, 10° ≤ 2θ ≤ 80°, by intensity:
| 2θ/deg | intensity |
| --- | --- |
| 25.1 | 100 |
| 11.1 | 97 |
| 32.6 | 82 |
| 32.3 | 68 |
| 33.7 | 50 |
| 12.5 | 46 |
| 30.9 | 44 |
| 34.7 | 41 |
| 13.5 | 33 |
| 37.4 | 33 |

Structure:
```
Na2Pr4Cl9O2
1.0
8.307 0.000 0.000
0.000 11.570 0.000
-2.730 0.000 8.985
Na Pr Cl O
4 8 18 4
Cartesian
0.721 0.177 3.891 Na
0.721 5.608 3.891 Na
4.857 5.962 5.094 Na
4.857 11.394 5.094 Na
-0.284 6.321 8.556 Pr
-0.284 11.034 8.556 Pr
0.953 2.893 7.017 Pr
2.785 2.893 1.479 Pr
2.793 8.678 7.506 Pr
4.625 8.678 1.968 Pr
5.862 0.536 0.429 Pr
5.862 5.249 0.429 Pr
-1.039 0.937 6.152 Cl
-1.039 4.848 6.152 Cl
0.554 1.082 1.108 Cl
0.554 4.703 1.108 Cl
-0.055 8.678 6.768 Cl
1.792 8.678 1.232 Cl
1.491 2.893 4.143 Cl
2.234 5.819 6.300 Cl
2.234 11.536 6.300 Cl
3.344 0.034 2.685 Cl
3.344 5.751 2.685 Cl
4.087 8.678 4.842 Cl
3.785 2.893 7.753 Cl
5.633 2.893 2.218 Cl
5.024 6.867 7.877 Cl
5.024 10.489 7.877 Cl
6.617 6.722 2.833 Cl
6.617 10.634 2.833 Cl
1.029 1.382 8.863 O
1.029 4.403 8.863 O
4.549 7.168 0.123 O
4.549 10.188 0.123 O
```

***

(6)
# CsTaTe3
Simulated XRD peak list, Cu Kα, 1.54184 Å. Input: the GGA-PBE geometry in the Materials Project.
Peak positions follow from Bragg's law for the DFT cell and can differ from measured ones.

Most intense lines, 10° ≤ 2θ ≤ 80°, by intensity:
| 2θ/deg | intensity |
| --- | --- |
| 28.4 | 100 |
| 12.3 | 68 |
| 37.6 | 45 |
| 43.5 | 38 |
| 49.7 | 21 |
| 21.4 | 18 |
| 52.8 | 17 |
| 70.7 | 15 |
| 43.6 | 15 |
| 74.9 | 14 |

Structure:
```
CsTaTe3
1.0
8.320 0.000 0.000
-4.160 7.205 0.000
0.000 0.000 6.401
Cs Ta Te
2 2 6
Cartesian
0.000 4.803 0.000 Cs
4.160 2.402 3.200 Cs
0.000 0.000 1.402 Ta
0.000 0.000 4.603 Ta
0.000 2.316 3.148 Te
-2.154 6.047 3.148 Te
2.006 1.158 6.349 Te
2.154 6.047 3.148 Te
6.314 1.158 6.349 Te
4.160 4.889 6.349 Te
```

***

(7)
# ZnSnN2
Simulated XRD peak list, Cu Kα, 1.54184 Å. Input: the GGA-PBE geometry in the Materials Project.
Peak positions follow from Bragg's law for the DFT cell and can differ from measured ones.

Most intense lines, 10° ≤ 2θ ≤ 80°, by intensity:
| 2θ/deg | intensity |
| --- | --- |
| 34.4 | 100 |
| 30.3 | 38 |
| 32.3 | 33 |
| 59.0 | 30 |
| 64.1 | 27 |
| 44.9 | 20 |
| 53.7 | 19 |
| 65.4 | 16 |
| 53.8 | 9 |
| 20.7 | 6 |

Structure:
```
ZnSnN2
1.0
5.911 0.000 0.000
0.000 6.815 0.000
0.000 0.000 5.540
Zn Sn N
4 4 8
Cartesian
0.490 0.852 0.000 Zn
2.465 4.259 2.770 Zn
3.446 2.555 0.000 Zn
5.421 5.963 2.770 Zn
0.516 4.259 0.003 Sn
2.440 0.852 2.773 Sn
3.472 5.963 0.003 Sn
5.395 2.555 2.773 Sn
0.476 0.847 2.078 N
0.486 4.264 2.101 N
2.469 0.856 4.871 N
2.479 4.254 4.848 N
3.432 2.561 2.078 N
3.442 5.958 2.101 N
5.425 2.551 4.871 N
5.435 5.968 4.848 N
```

***

(8)
# RbMg6CO8
Simulated XRD peak list, Cu Kα, 1.54184 Å. Input: the GGA-PBE geometry in the Materials Project.
Peak positions follow from Bragg's law for the DFT cell and can differ from measured ones.

Most intense lines, 10° ≤ 2θ ≤ 80°, by intensity:
| 2θ/deg | intensity |
| --- | --- |
| 40.1 | 100 |
| 59.5 | 48 |
| 42.0 | 38 |
| 35.1 | 30 |
| 58.0 | 29 |
| 22.3 | 28 |
| 10.3 | 27 |
| 74.2 | 23 |
| 29.9 | 18 |
| 37.2 | 16 |

Structure:
```
RbMg6CO8
1.0
4.499 0.000 0.000
0.000 4.499 0.000
0.000 0.000 8.600
Rb Mg C O
1 6 1 8
Cartesian
0.000 0.000 0.000 Rb
0.000 2.249 2.272 Mg
0.000 2.249 6.328 Mg
2.249 0.000 2.272 Mg
2.249 0.000 6.328 Mg
2.249 2.249 0.000 Mg
2.249 2.249 4.300 Mg
0.000 0.000 4.300 C
0.000 0.000 2.497 O
0.000 0.000 6.103 O
0.000 2.249 0.000 O
0.000 2.249 4.300 O
2.249 0.000 0.000 O
2.249 0.000 4.300 O
2.249 2.249 2.165 O
2.249 2.249 6.436 O
```